Diffraction record for Ba3Er2MoO9. The XRD peak list is simulated, not measured: it uses a structure optimized by DFT (GGA+U) and CuKα.

Peak list (10 most intense, 10 to 90 degrees two-theta, most intense first)
3.031 Å, intensity 1000, (3 1 0); 3.017 Å, intensity 515, (0 2 0); 1.745 Å, intensity 417, (3 3 0); 2.134 Å, intensity 278, (2 2 4); 1.516 Å, intensity 178, (6 2 0); 1.753 Å, intensity 160, (6 0 0); 2.154 Å, intensity 149, (4 0 -4); 1.351 Å, intensity 133, (4 2 8); 1.143 Å, intensity 115, (6 4 0); 1.361 Å, intensity 92, (7 1 -4)

Structural model:
Cell: 10.5206 6.0291 14.8391 Å, 90.00 90.46 90.00°
Space group C2/c (No. 15)
Asymmetric unit:
Ba: 0.0000 0.0000 0.2500 x4
Ba: 0.1661 0.4991 0.4125 x8
Er: 0.1673 0.4983 0.6679 x8
Mo: 0.0000 0.0000 0.0000 x4
O: 0.0000 0.4912 0.2500 x4
O: 0.0672 0.2592 0.5644 x8
O: 0.0880 0.2005 0.0843 x8
O: 0.1519 0.0004 0.4236 x8
O: 0.2336 0.2060 0.7369 x8